Entry 1:
HgICl5: computed powder X-ray diffraction pattern (Cu Kα, 1.54184 Å), based on DFT lattice parameters and positions (PBE).

Largest 10 diffraction maxima, most intense first, 2θ = 10–90°:
h k l  2θ/deg  intensity
1 0 1  17.17  100
1 -2 0  22.11  73
1 2 0  27.31  64
0 2 -1  22.59  59
0 0 3  29.30  56
1 0 -1  16.52  52
1 0 -2  23.39  34
-2 2 2  36.22  29
0 1 1  14.24  28
0 0 2  19.40  28

Crystal structure
a = 6.6020 Å, b = 8.8562 Å, c = 9.1592 Å
α = 90.64°, β = 92.14°, γ = 102.78°
Space group P1 (No. 1)
Unique sites:
Hg1 0.0000 0.0000 0.0000 [1 per cell]
Hg2 0.0002 0.5000 0.9999 [1 per cell]
I1 0.4719 0.2918 0.6796 [1 per cell]
I2 0.5287 0.7084 0.3194 [1 per cell]
Cl1 0.1302 0.5114 0.2487 [1 per cell]
Cl2 0.1402 0.1388 0.6004 [1 per cell]
Cl3 0.2301 0.8445 0.9495 [1 per cell]
Cl4 0.3274 0.3175 0.9358 [1 per cell]
Cl5 0.3877 0.7331 0.5588 [1 per cell]
Cl6 0.6136 0.2678 0.4404 [1 per cell]
Cl7 0.6724 0.6820 0.0631 [1 per cell]
Cl8 0.7699 0.1556 0.0503 [1 per cell]
Cl9 0.8605 0.8614 0.3982 [1 per cell]
Cl10 0.8703 0.4887 0.7511 [1 per cell]

---

Entry 2:
Hg4SeI2Cl: computed powder X-ray diffraction pattern (Cu Kα, 1.54184 Å), based on DFT lattice parameters and positions (PBE).

Largest 10 diffraction maxima, most intense first, 2θ = 10–90°:
h k l  2θ/deg  intensity
0 0 2  23.42  100
2 1 0  22.95  63
3 1 0  32.91  43
0 2 0  19.31  39
1 4 0  40.66  33
0 3 2  37.72  33
0 2 1  22.61  33
2 1 2  33.02  31
3 2 2  44.37  28
2 3 0  36.07  28

Crystal structure
a = 8.5469 Å, b = 9.1922 Å, c = 7.5962 Å
α = 90.00°, β = 90.00°, γ = 90.00°
Space group Pmn2_1 (No. 31)
Unique sites:
Hg1 0.0000 0.0719 0.0000 [2 per cell]
Hg2 0.0000 0.8118 0.6158 [2 per cell]
Hg3 0.1695 0.3224 0.4847 [4 per cell]
Se1 0.0000 0.7913 0.9559 [2 per cell]
I1 0.2187 0.3199 0.9671 [4 per cell]
Cl1 0.0000 0.0184 0.3876 [2 per cell]